Entry 1:
Theoretical PXRD pattern of Pm2Ho2Tl3 for a wavelength of 1.5418 Å, from a crystal structure in Alexandria, relaxed with PBE.
Neutral-atom scattering factors, no anomalous dispersion.

Lattice parameters (Å, degrees): 3.541 32.442 3.593 90.00 90.00 90.00
Space group Cmmm (No. 65)
Asymmetric unit:
1 Pm 0.000 0.069 0.000 x4
2 Ho 0.000 0.203 0.000 x4
3 Tl 0.000 0.361 0.500 x4
4 Tl 0.000 0.500 0.500 x2

Largest 8 diffraction maxima, by angle, 2θ = 5–70°:
2theta	Rel. int.	index
29.86	29	0 6 1
31.80	100	1 7 0
33.32	67	0 8 1
35.71	72	1 1 1
38.86	23	0 14 0
56.01	39	1 15 1
61.21	31	1 7 2
62.84	22	2 8 1

---

Entry 2:
Theoretical PXRD pattern of Pm7Ho2Tl2 for a wavelength of 1.5418 Å, from a crystal structure in Alexandria, relaxed with PBE.
Neutral-atom scattering factors, no anomalous dispersion.

Lattice parameters (Å, degrees): 3.680 20.399 9.852 90.00 90.00 90.00
Space group Imm2 (No. 44)
Asymmetric unit:
1 Pm 0.000 0.000 0.000 x2
2 Pm 0.000 0.129 0.539 x4
3 Pm 0.000 0.339 0.343 x4
4 Pm 0.000 0.367 0.714 x4
5 Ho 0.000 0.000 0.349 x2
6 Ho 0.000 0.500 0.177 x2
7 Tl 0.000 0.244 0.057 x4

Largest 8 diffraction maxima, by angle, 2θ = 5–70°:
2theta	Rel. int.	index
30.22	55	0 3 3
30.64	33	1 1 2
31.32	100	1 4 1
31.99	18	0 6 2
33.12	32	1 3 2
35.20	26	0 8 0
49.54	17	2 0 0
55.95	19	0 0 6